The following is a simulated PXRD pattern of Rb5TlAs2. It was derived from the GGA-PBE geometry in Alexandria, using Cu Ka.
Intensities are scaled so that the largest is 100.

Crystal structure
```
data_Rb5TlAs2
_symmetry_space_group_name_H-M 'R -3 m'
_symmetry_Int_Tables_number 166
_symmetry_space_group_name_Hall '-R 3 2"'
_cell_length_a 6.0544
_cell_length_b 6.0544
_cell_length_c 32.3920
_cell_angle_alpha 90.00
_cell_angle_beta 90.00
_cell_angle_gamma 120.00
loop_
_atom_site_label
_atom_site_type_symbol
_atom_site_fract_x
_atom_site_fract_y
_atom_site_fract_z
_atom_site_occupancy
Rb1 Rb 0.0000 0.0000 0.0000 1
Rb2 Rb 0.0000 0.0000 0.1197 1
Rb3 Rb 0.0000 0.0000 0.2806 1
Tl1 Tl 0.0000 0.0000 0.5000 1
As1 As 0.0000 0.0000 0.4067 1
```

Main lines, by intensity (10° ≤ 2θ ≤ 80°):
two_theta  d (Å)  I/Imax  index
29.5  3.027  100  1 1 0
27.8  3.205  39  0 1 8
32.5  2.756  37  1 0 10
17.8  4.988  21  0 1 2
21.8  4.076  20  0 1 5
52.3  1.748  20  3 0 0
54.3  1.690  17  2 1 10
44.5  2.038  15  0 2 10